Record 1
For TlHgAsS3, a PBE-relaxed structure gives the calculated powder XRD pattern in this record (Cu Kα X-rays).
Intensities are scaled so that the largest is 100.

Atomic structure:
Unit cell a=6.2587 b=6.2587 c=16.7424 alpha=90.00 beta=90.00 gamma=95.45
Fractional positions:
Tl 0.1650 0.8350 0.9461
Tl 0.3350 0.6650 0.4461
Tl 0.6650 0.3350 0.5539
Tl 0.8350 0.1650 0.0539
Hg 0.0841 0.4159 0.7500
Hg 0.4159 0.0841 0.2500
Hg 0.5841 0.9159 0.7500
Hg 0.9159 0.5841 0.2500
As 0.0784 0.9216 0.6096
As 0.4216 0.5784 0.1096
As 0.5784 0.4216 0.8904
As 0.9216 0.0784 0.3904
S 0.1401 0.2880 0.6089
S 0.1507 0.8493 0.7381
S 0.2120 0.3599 0.8911
S 0.2880 0.1401 0.3911
S 0.3493 0.6507 0.2381
S 0.3599 0.2120 0.1089
S 0.6401 0.7880 0.8911
S 0.6507 0.3493 0.7619
S 0.7120 0.8599 0.6089
S 0.7880 0.6401 0.1089
S 0.8493 0.1507 0.2619
S 0.8599 0.7120 0.3911

Principal peaks in the range 10 to 90 degrees two-theta, by intensity:
2θ (°)  I (rel.)
29.2  100.0
23.7  76.2
25.0  57.0
39.5  46.8
25.6  32.8
52.7  32.5
32.1  27.6
31.3  27.2
43.0  23.4
50.3  20.8

Record 2
For TlHgAsS3, a PBE-relaxed structure gives the calculated powder XRD pattern in this record (Cu Kα X-rays).
Intensities are scaled so that the largest is 100.

Atomic structure:
Unit cell a=9.8256 b=9.8256 c=9.8256 alpha=106.67 beta=106.67 gamma=115.24
Fractional positions:
Tl 0.1565 0.1565 0.0000
Tl 0.2500 0.7500 0.5000
Tl 0.7500 0.2500 0.5000
Tl 0.8435 0.8435 0.0000
Hg 0.2302 0.5000 0.7302
Hg 0.5000 0.2302 0.7302
Hg 0.5000 0.7698 0.2698
Hg 0.7698 0.5000 0.2698
As 0.0232 0.5178 0.0000
As 0.4822 0.4822 0.5053
As 0.5178 0.0232 0.0000
As 0.9768 0.9768 0.4947
S 0.0354 0.5830 0.7982
S 0.2123 0.2123 0.7416
S 0.2152 0.4170 0.4524
S 0.2372 0.7848 0.2018
S 0.4170 0.2152 0.4524
S 0.4707 0.4707 0.2584
S 0.5293 0.7877 0.0000
S 0.5830 0.0354 0.7982
S 0.7628 0.9646 0.5476
S 0.7848 0.2372 0.2018
S 0.7877 0.5293 0.0000
S 0.9646 0.7628 0.5476

Principal peaks in the range 10 to 90 degrees two-theta, by intensity:
2θ (°)  I (rel.)
27.4  100.0
18.9  66.9
30.5  32.7
52.3  29.5
43.6  22.6
34.3  22.2
46.5  20.2
42.4  18.2
46.4  18.0
26.5  16.4

Record 3
For TlHgAs3S6, a PBE-relaxed structure gives the calculated powder XRD pattern in this record (Cu Kα X-rays).
Intensities are scaled so that the largest is 100.

Atomic structure:
Unit cell a=6.1714 b=12.2470 c=17.2926 alpha=90.00 beta=109.84 gamma=90.00
Fractional positions:
Tl 0.0712 0.1154 0.1961
Tl 0.0712 0.3846 0.6961
Tl 0.9288 0.6154 0.3039
Tl 0.9288 0.8846 0.8039
Hg 0.1709 0.5955 0.0975
Hg 0.1709 0.9045 0.5975
Hg 0.8291 0.0955 0.4025
Hg 0.8291 0.4045 0.9025
As 0.3094 0.1742 0.9175
As 0.3094 0.3258 0.4175
As 0.4081 0.6323 0.9325
As 0.4081 0.8677 0.4325
As 0.4408 0.1292 0.7450
As 0.4408 0.3708 0.2450
As 0.5592 0.6292 0.7550
As 0.5592 0.8708 0.2550
As 0.5919 0.1323 0.5675
As 0.5919 0.3677 0.0675
As 0.6906 0.6742 0.5825
As 0.6906 0.8258 0.0825
S 0.0620 0.6369 0.9508
S 0.0620 0.8631 0.4508
S 0.2285 0.6409 0.7894
S 0.2285 0.8591 0.2894
S 0.2567 0.1508 0.3841
S 0.2567 0.3492 0.8841
S 0.3585 0.6386 0.6180
S 0.3585 0.8614 0.1180
S 0.3703 0.5534 0.2427
S 0.3703 0.9466 0.7427
S 0.4986 0.1838 0.0568
S 0.4986 0.3162 0.5568
S 0.5014 0.6838 0.4432
S 0.5014 0.8162 0.9432
S 0.6297 0.0534 0.2573
S 0.6297 0.4466 0.7573
S 0.6415 0.1386 0.8820
S 0.6415 0.3614 0.3820
S 0.7433 0.6508 0.1159
S 0.7433 0.8492 0.6159
S 0.7715 0.1409 0.7106
S 0.7715 0.3591 0.2106
S 0.9380 0.1369 0.5492
S 0.9380 0.3631 0.0492

Principal peaks in the range 10 to 90 degrees two-theta, by intensity:
2θ (°)  I (rel.)
23.1  100.0
29.2  35.8
30.5  28.5
31.2  27.1
19.6  20.2
29.9  16.9
23.2  15.9
28.4  15.1
15.5  13.9
33.9  13.6